For NdGdAg2Pb2, a DFT-relaxed cell (PBE, OQMD) gives the calculated powder diffractogram in this record (Cu Kα, 1.54184 Å).
Peak positions follow from Bragg's law for the DFT cell and can differ from measured ones.

Structure:
abc: 4.8676 4.8676 7.5763
angles: 90.00 90.00 120.00
Space group P3m1 (No. 156)
One atom of each set of equivalent atoms:
Nd (0.0000, 0.0000, 0.0000)
Gd (0.0000, 0.0000, 0.5013)
Ag (0.3333, 0.6667, 0.1962)
Ag (0.6667, 0.3333, 0.6865)
Pb (0.3333, 0.6667, 0.7765)
Pb (0.6667, 0.3333, 0.2842)

Most intense lines, 5 to 70 degrees two-theta, by angle:
- d = 3.684 Å, 24.16°, I = 27
- d = 2.818 Å, 31.76°, I = 100
- d = 2.434 Å, 36.93°, I = 89
- d = 2.166 Å, 41.69°, I = 26
- d = 1.842 Å, 49.49°, I = 29
- d = 1.495 Å, 62.10°, I = 17
- d = 1.469 Å, 63.32°, I = 28
- d = 1.426 Å, 65.46°, I = 11
- d = 1.405 Å, 66.55°, I = 16
- d = 1.348 Å, 69.79°, I = 11

For Co17As, a DFT-relaxed cell (PBE, OQMD) gives the calculated powder diffractogram in this record (Cu Kα, 1.54184 Å).
Peak positions follow from Bragg's law for the DFT cell and can differ from measured ones.

Structure:
abc: 4.9348 4.9348 31.1677
angles: 90.00 90.00 120.00
Space group P-3m1 (No. 164)
One atom of each set of equivalent atoms:
Co (0.0000, 0.0000, 0.0000)
Co (0.0000, 0.0000, 0.1946)
Co (0.0000, 0.5000, 0.0000)
Co (0.0015, 0.5007, 0.8043)
Co (0.1666, 0.3333, 0.7406)
Co (0.1667, 0.3333, 0.9348)
Co (0.1668, 0.3337, 0.1298)
Co (0.3333, 0.6667, 0.0649)
Co (0.3333, 0.6667, 0.8683)
As (0.3333, 0.6667, 0.2676)

Most intense lines, 5 to 70 degrees two-theta, by angle:
- d = 15.584 Å, 5.67°, I = 100
- d = 10.389 Å, 8.51°, I = 28
- d = 7.792 Å, 11.36°, I = 20
- d = 2.078 Å, 43.56°, I = 29
- d = 2.061 Å, 43.94°, I = 20
- d = 2.021 Å, 44.84°, I = 92
- d = 1.976 Å, 45.92°, I = 33
- d = 1.948 Å, 46.63°, I = 15
- d = 1.762 Å, 51.88°, I = 55
- d = 1.706 Å, 53.73°, I = 25